Record 1
Ho2ErMg3Pt3: simulated PXRD pattern (Cu Kα X-rays), based on a structure optimized by DFT (GGA-PBE).
Neutral-atom scattering factors, no anomalous dispersion.

The 12 most intense peaks (2θ from 5° to 70°), most intense first:
35.93 deg, d = 2.500 Å, I = 100; 32.92 deg, d = 2.720 Å, I = 71; 24.33 deg, d = 3.658 Å, I = 52; 42.82 deg, d = 2.112 Å, I = 40; 43.87 deg, d = 2.064 Å, I = 37; 26.02 deg, d = 3.424 Å, I = 27; 68.55 deg, d = 1.369 Å, I = 27; 63.49 deg, d = 1.465 Å, I = 25; 44.53 deg, d = 2.035 Å, I = 24; 57.09 deg, d = 1.613 Å, I = 17; 49.86 deg, d = 1.829 Å, I = 15; 37.56 deg, d = 2.395 Å, I = 14

Structural model:
```
data_Ho2ErMg3Pt3
_cell_length_a 4.069
_cell_length_b 7.315
_cell_length_c 7.315
_cell_angle_alpha 119.97
_cell_angle_beta 90.00
_cell_angle_gamma 90.00
_space_group_name_H-M_alt 'P 1'
_space_group_IT_number 1
loop_
_space_group_symop_operation_xyz
'x,y,z'
loop_
_atom_site_label
_atom_site_type_symbol
_atom_site_fract_x
_atom_site_fract_y
_atom_site_fract_z
_atom_site_occupancy
Ho1 Ho 0.000 0.205 0.795 1
Ho2 Ho 0.000 0.795 0.205 1
Er1 Er 0.000 0.386 0.386 1
Mg1 Mg 0.500 0.041 0.041 1
Mg2 Mg 0.500 0.549 0.795 1
Mg3 Mg 0.500 0.795 0.549 1
Pt1 Pt 0.000 0.795 0.795 1
Pt2 Pt 0.500 0.129 0.462 1
Pt3 Pt 0.500 0.462 0.129 1
```

=====

Record 2
AlZnGaSe4: simulated PXRD pattern (Cu Kα X-rays), based on a structure optimized by DFT (GGA-PBE).
Neutral-atom scattering factors, no anomalous dispersion.

The 12 most intense peaks (2θ from 5° to 70°), most intense first:
27.68 deg, d = 3.223 Å, I = 100; 46.11 deg, d = 1.969 Å, I = 43; 54.30 deg, d = 1.689 Å, I = 28; 45.74 deg, d = 1.984 Å, I = 22; 54.96 deg, d = 1.671 Å, I = 13; 17.73 deg, d = 5.003 Å, I = 10; 36.73 deg, d = 2.447 Å, I = 9; 28.99 deg, d = 3.080 Å, I = 7; 66.68 deg, d = 1.403 Å, I = 7; 31.90 deg, d = 2.805 Å, I = 5; 49.43 deg, d = 1.844 Å, I = 3; 67.84 deg, d = 1.382 Å, I = 3

Structural model:
```
data_AlZnGaSe4
_cell_length_a 6.803
_cell_length_b 6.803
_cell_length_c 6.803
_cell_angle_alpha 131.29
_cell_angle_beta 131.29
_cell_angle_gamma 71.35
_space_group_name_H-M_alt 'P 1'
_space_group_IT_number 1
loop_
_space_group_symop_operation_xyz
'x,y,z'
loop_
_atom_site_label
_atom_site_type_symbol
_atom_site_fract_x
_atom_site_fract_y
_atom_site_fract_z
_atom_site_occupancy
Al1 Al 0.000 0.000 0.000 1
Zn1 Zn 0.500 0.500 0.000 1
Ga1 Ga 0.250 0.750 0.500 1
Se1 Se 0.101 0.125 0.490 1
Se2 Se 0.389 0.899 0.024 1
Se3 Se 0.635 0.611 0.510 1
Se4 Se 0.875 0.365 0.976 1
```